# Tb4Er6Tl
Calculated X-ray diffraction stick pattern, λ = 1.5418 Å (Cu Kα). Input: a PBE-relaxed structure.
Lines closer than 0.1° are merged.

Principal peaks in the range 10° ≤ 2θ ≤ 80°, in order of falling intensity:
- (2 2 0), d = 2.716 Å, 33.0 deg, intensity 100
- (2 0 1), d = 2.780 Å, 32.2 deg, intensity 87
- (2 2 2), d = 1.455 Å, 64.0 deg, intensity 30
- (4 0 1), d = 1.943 Å, 46.8 deg, intensity 26
- (4 2 1), d = 1.580 Å, 58.4 deg, intensity 24
- (1 1 1), d = 2.910 Å, 30.7 deg, intensity 21
- (2 1 1), d = 2.475 Å, 36.3 deg, intensity 18
- (6 0 0), d = 1.568 Å, 58.9 deg, intensity 14
- (3 0 1), d = 2.319 Å, 38.8 deg, intensity 13
- (3 0 0), d = 3.137 Å, 28.5 deg, intensity 13
- (0 0 2), d = 1.723 Å, 53.2 deg, intensity 10
- (4 1 1), d = 1.764 Å, 51.8 deg, intensity 10

Crystal structure
Lattice parameters (Å, degrees): 10.8657 10.8657 3.4455 90.00 90.00 120.00
Space group P-6m2 (No. 187)
One atom of each set of equivalent atoms:
Tb 0.0000 0.0000 0.0000 [1 per cell]
Tb 0.5110 0.0220 0.5000 [3 per cell]
Er 0.1795 0.3591 0.0000 [3 per cell]
Er 0.3020 0.1510 0.5000 [3 per cell]
Tl 0.6667 0.3333 0.0000 [1 per cell]